# PuGaCu2
Theoretical powder X-ray diffraction pattern, Cu Kα (weighted mean of Kα1 and Kα2). Input: a DFT-relaxed cell (GGA-PBE, Alexandria).
No peak broadening, texture or thermal motion is included.

Principal peaks in the range 5° ≤ 2θ ≤ 70°, low angle first:
hkl 0 1 1, 22.41 deg, d 3.967, rel. 27
hkl 1 0 2, 22.82 deg, d 3.896, rel. 20
hkl 2 0 0, 27.18 deg, d 3.281, rel. 22
hkl 2 1 1, 35.51 deg, d 2.528, rel. 94
hkl 1 1 3, 37.30 deg, d 2.411, rel. 100
hkl 1 0 4, 39.68 deg, d 2.272, rel. 31
hkl 0 2 0, 41.53 deg, d 2.174, rel. 36
hkl 3 0 2, 45.51 deg, d 1.993, rel. 24
hkl 1 2 4, 58.79 deg, d 1.571, rel. 20
hkl 3 2 2, 63.29 deg, d 1.469, rel. 18

Atomic structure:
Cell: 6.5616 4.3486 9.6851 Å, 90.00 90.00 90.00°
Space group Pnma (No. 62)
Symmetry-distinct sites (fractional):
Pu 0.2469 0.2500 0.1703 x4
Ga 0.0703 0.2500 0.8683 x4
Cu 0.0516 0.7500 0.3927 x4
Cu 0.2376 0.7500 0.9613 x4